Starting from DFT lattice parameters and positions (PBE), the powder diffractogram of Pr2NdZn5 was calculated for Cu Kα (λ = 1.5418 Å).
Lines closer than 0.1° are merged.

Cell and atoms:
```
16
Lattice="4.958 0.000 0.000 0.000 4.958 0.000 0.000 0.000 14.748" Properties=species:S:1:pos:R:3 pbc="T T T"
Pr 0.000 0.000 3.384
Pr 0.000 0.000 11.364
Pr 2.479 2.479 3.990
Pr 2.479 2.479 10.758
Nd 0.000 0.000 7.374
Nd 2.479 2.479 0.000
Zn 0.000 0.000 0.000
Zn 0.000 2.479 1.651
Zn 0.000 2.479 5.723
Zn 0.000 2.479 9.024
Zn 0.000 2.479 13.097
Zn 2.479 0.000 1.651
Zn 2.479 0.000 5.723
Zn 2.479 0.000 9.024
Zn 2.479 0.000 13.097
Zn 2.479 2.479 7.374
```

Most intense lines, 2θ = 5–70°, in order of falling intensity:
d (Å)  I_rel
2.541  100
2.479  53
1.443  33
1.753  18
3.491  14
1.479  11

***

Starting from DFT lattice parameters and positions (PBE), the powder diffractogram of PrNd2Zr was calculated for Cu Kα (λ = 1.5418 Å).
Lines closer than 0.1° are merged.

Cell and atoms:
```
4
Lattice="4.104 0.000 0.000 0.000 4.104 0.000 0.000 0.000 7.514" Properties=species:S:1:pos:R:3 pbc="T T T"
Pr 0.000 0.000 0.000
Nd 2.052 2.052 2.118
Nd 2.052 2.052 5.396
Zr 0.000 0.000 3.757
```

Most intense lines, 2θ = 5–70°, in order of falling intensity:
d (Å)  I_rel
2.771  100
2.902  62
1.649  42
2.052  23
1.577  14
1.386  9

***

Starting from DFT lattice parameters and positions (PBE), the powder diffractogram of NdPt4 was calculated for Cu Kα (λ = 1.5418 Å).
Lines closer than 0.1° are merged.

Cell and atoms:
```
20
Lattice="-4.625 4.625 4.625 4.625 -4.625 4.625 4.625 4.625 -4.625" Properties=species:S:1:pos:R:3 pbc="T T T"
Nd 2.056 2.056 -2.056
Nd 2.056 -2.056 2.056
Nd -2.056 2.056 2.056
Nd 2.568 2.568 2.568
Pt 3.651 3.651 -3.651
Pt 3.222 0.000 0.000
Pt 6.027 0.000 0.000
Pt 3.651 -3.651 3.651
Pt 0.974 0.974 0.974
Pt 4.625 2.312 0.000
Pt 4.625 0.000 2.312
Pt 0.000 3.222 0.000
Pt 0.000 0.000 3.222
Pt 2.312 4.625 0.000
Pt 2.312 0.000 4.625
Pt 0.000 6.027 0.000
Pt 0.000 0.000 6.027
Pt 0.000 4.625 2.312
Pt 0.000 2.312 4.625
Pt -3.651 3.651 3.651
```

Most intense lines, 2θ = 5–70°, in order of falling intensity:
d (Å)  I_rel
2.180  100
2.670  84
2.472  46
4.625  25
1.972  24
1.635  23

***

Starting from DFT lattice parameters and positions (PBE), the powder diffractogram of NdPt3 was calculated for Cu Kα (λ = 1.5418 Å).
Lines closer than 0.1° are merged.

Cell and atoms:
```
4
Lattice="4.198 0.000 0.000 0.000 4.198 0.000 0.000 0.000 4.198" Properties=species:S:1:pos:R:3 pbc="T T T"
Nd 0.000 0.000 0.000
Pt 0.000 2.099 2.099
Pt 2.099 0.000 2.099
Pt 2.099 2.099 0.000
```

Most intense lines, 2θ = 5–70°, in order of falling intensity:
d (Å)  I_rel
2.424  100
2.099  50
1.484  33
4.198  1
2.969  1
1.878  1

***

Starting from DFT lattice parameters and positions (PBE), the powder diffractogram of NdPt3 was calculated for Cu Kα (λ = 1.5418 Å).
Lines closer than 0.1° are merged.

Cell and atoms:
```
8
Lattice="4.191 0.000 0.000 0.000 4.191 0.000 0.000 0.000 8.590" Properties=species:S:1:pos:R:3 pbc="T T T"
Nd 0.000 0.000 0.000
Nd 2.095 2.095 4.295
Pt 0.000 0.000 4.295
Pt 0.000 2.095 2.148
Pt 0.000 2.095 6.443
Pt 2.095 0.000 2.148
Pt 2.095 0.000 6.443
Pt 2.095 2.095 0.000
```

Most intense lines, 2θ = 5–70°, in order of falling intensity:
d (Å)  I_rel
2.439  100
2.095  32
1.500  22
2.148  17
1.482  11
3.767  1

***

Starting from DFT lattice parameters and positions (PBE), the powder diffractogram of Nd5Pt3 was calculated for Cu Kα (λ = 1.5418 Å).
Lines closer than 0.1° are merged.

Cell and atoms:
```
32
Lattice="11.399 0.000 0.000 0.000 11.399 0.000 0.000 0.000 6.680" Properties=species:S:1:pos:R:3 pbc="T T T"
Nd 0.493 1.813 0.815
Nd 0.493 3.886 4.155
Nd 1.813 0.493 4.155
Nd 1.813 5.207 0.815
Nd 2.850 8.549 0.000
Nd 2.850 8.549 3.340
Nd 3.886 0.493 0.815
Nd 3.886 5.207 4.155
Nd 5.207 1.813 4.155
Nd 5.207 3.886 0.815
Nd 6.192 7.513 5.864
Nd 6.192 9.585 2.525
Nd 7.513 6.192 2.525
Nd 7.513 10.906 5.864
Nd 8.549 2.850 0.000
Nd 8.549 2.850 3.340
Nd 9.585 6.192 5.864
Nd 9.585 10.906 2.525
Nd 10.906 7.513 2.525
Nd 10.906 9.585 5.864
Pt 1.096 6.795 5.010
Pt 1.096 10.303 1.670
Pt 2.850 2.850 2.562
Pt 2.850 2.850 5.902
Pt 4.603 6.795 1.670
Pt 4.603 10.303 5.010
Pt 6.795 1.096 1.670
Pt 6.795 4.603 5.010
Pt 8.549 8.549 0.777
Pt 8.549 8.549 4.117
Pt 10.303 1.096 5.010
Pt 10.303 4.603 1.670
```

Most intense lines, 2θ = 5–70°, in order of falling intensity:
d (Å)  I_rel
2.552  100
2.794  41
3.172  33
2.858  32
2.450  25
4.052  24

***

Starting from DFT lattice parameters and positions (PBE), the powder diffractogram of Nd13Pt2 was calculated for Cu Kα (λ = 1.5418 Å).
Lines closer than 0.1° are merged.

Cell and atoms:
```
15
Lattice="6.787 0.000 0.000 1.351 8.390 0.000 1.251 3.917 8.592" Properties=species:S:1:pos:R:3 pbc="T T T"
Nd 0.000 0.000 0.000
Nd 0.874 3.025 2.910
Nd 2.518 6.831 3.132
Nd 2.442 4.912 0.201
Nd 3.420 6.078 6.656
Nd 3.355 1.114 1.340
Nd 5.100 8.662 4.823
Nd 4.288 3.645 3.769
Nd 6.034 11.193 7.252
Nd 5.968 6.229 1.936
Nd 6.947 7.396 8.391
Nd 6.871 5.476 5.460
Nd 8.515 9.282 5.682
Pt 2.144 3.288 5.773
Pt 7.245 9.020 2.819
```

Most intense lines, 2θ = 5–70°, in order of falling intensity:
d (Å)  I_rel
2.704  100
3.035  46
2.994  46
3.050  44
2.567  43
2.866  30

***

Starting from DFT lattice parameters and positions (PBE), the powder diffractogram of NdPu2Pt2 was calculated for Cu Kα (λ = 1.5418 Å).
Lines closer than 0.1° are merged.

Cell and atoms:
```
10
Lattice="2.055 -6.804 0.000 2.055 6.804 0.000 0.000 0.000 9.106" Properties=species:S:1:pos:R:3 pbc="T T T"
Nd 2.055 5.496 4.553
Nd 2.055 -5.496 0.000
Pu 2.055 4.275 1.073
Pu 2.055 1.529 3.252
Pu 2.055 -1.529 7.805
Pu 2.055 -4.275 5.626
Pt 2.055 3.231 7.497
Pt 2.055 0.545 5.998
Pt 2.055 -0.545 1.445
Pt 2.055 -3.231 2.944
```

Most intense lines, 2θ = 5–70°, in order of falling intensity:
d (Å)  I_rel
2.888  100
2.532  69
2.201  63
2.772  45
2.055  38
2.977  32